Starting from a cell relaxed with PBE, the powder X-ray diffraction pattern of Er4SiGeSe2 was calculated for CuKα.
Kinematic intensities with the Lorentz-polarization factor, no thermal factor.

Structure:
a = 7.085 Å, b = 7.085 Å, c = 7.085 Å
α = 132.07°, β = 132.07°, γ = 70.12°
Atoms (fractional coordinates):
1 Er 0.245 0.245 0.000
2 Er 0.504 0.004 0.500
3 Er 0.755 0.755 0.000
4 Er 0.996 0.496 0.500
5 Si 0.000 0.000 0.000
6 Ge 0.750 0.250 0.500
7 Se 0.250 0.750 0.500
8 Se 0.500 0.500 0.000

Top 12 peaks for 5 to 70 degrees two-theta, low angle first:
26.8°, 3.331 Å, intensity 52.8
27.8°, 3.209 Å, intensity 2.4
30.8°, 2.900 Å, intensity 50.5
31.1°, 2.878 Å, intensity 100.0
42.2°, 2.143 Å, intensity 1.6
44.3°, 2.043 Å, intensity 74.4
44.5°, 2.035 Å, intensity 37.1
52.4°, 1.746 Å, intensity 8.4
52.7°, 1.737 Å, intensity 17.2
55.1°, 1.666 Å, intensity 39.1
64.2°, 1.450 Å, intensity 6.0
64.8°, 1.439 Å, intensity 12.1

Starting from a cell relaxed with PBE, the powder X-ray diffraction pattern of SrLi4Pb was calculated for CuKα.
Kinematic intensities with the Lorentz-polarization factor, no thermal factor.

Structure:
a = 5.813 Å, b = 5.813 Å, c = 5.813 Å
α = 60.00°, β = 60.00°, γ = 60.00°
Atoms (fractional coordinates):
1 Sr 0.000 0.000 0.000
2 Li 0.126 0.625 0.625
3 Li 0.625 0.126 0.625
4 Li 0.625 0.625 0.126
5 Li 0.625 0.625 0.625
6 Pb 0.250 0.250 0.250

Top 12 peaks for 5 to 70 degrees two-theta, low angle first:
18.7°, 4.746 Å, intensity 100.0
21.6°, 4.110 Å, intensity 15.4
30.8°, 2.906 Å, intensity 86.7
36.2°, 2.479 Å, intensity 71.0
37.9°, 2.373 Å, intensity 5.5
44.1°, 2.055 Å, intensity 14.2
48.3°, 1.886 Å, intensity 26.9
49.6°, 1.838 Å, intensity 7.7
54.7°, 1.678 Å, intensity 34.9
58.3°, 1.582 Å, intensity 24.4
64.1°, 1.453 Å, intensity 12.5
67.4°, 1.390 Å, intensity 20.3

Starting from a cell relaxed with PBE, the powder X-ray diffraction pattern of Nd3HoN4 was calculated for CuKα.
Kinematic intensities with the Lorentz-polarization factor, no thermal factor.

Structure:
a = 5.102 Å, b = 5.102 Å, c = 5.102 Å
α = 90.00°, β = 90.00°, γ = 90.00°
Atoms (fractional coordinates):
1 Nd 0.000 0.000 0.500
2 Nd 0.000 0.500 0.000
3 Nd 0.500 0.000 0.000
4 Ho 0.500 0.500 0.500
5 N 0.000 0.000 0.000
6 N 0.000 0.500 0.500
7 N 0.500 0.000 0.500
8 N 0.500 0.500 0.000

Top 5 peaks for 5 to 70 degrees two-theta, low angle first:
30.3°, 2.946 Å, intensity 100.0
35.2°, 2.551 Å, intensity 73.8
50.6°, 1.804 Å, intensity 51.3
60.2°, 1.538 Å, intensity 45.6
63.1°, 1.473 Å, intensity 17.3